La2SiSeO4: simulated X-ray diffraction stick pattern (Cu Kα), based on DFT lattice parameters and positions (GGA-PBE).
Peak positions follow from Bragg's law for the DFT cell and can differ from measured ones.

Most intense lines, 2θ = 10–90°, by angle:
Position (°2θ)	I/Imax
20.1	26
21.1	23
24.3	28
28.9	78
29.1	22
31.7	100
34.7	32
39.1	28
42.8	22
47.6	18
49.6	22
66.3	28

Structure:
Cell: 6.341 7.376 11.288 Å, 90.00 90.00 90.00°
Fractional coordinates of all 32 atoms:
1 La 0.109 0.250 0.000
2 La 0.109 0.250 0.500
3 La 0.372 0.538 0.250
4 La 0.372 0.962 0.750
5 La 0.628 0.038 0.250
6 La 0.628 0.462 0.750
7 La 0.891 0.750 0.000
8 La 0.891 0.750 0.500
9 Si 0.386 0.750 0.000
10 Si 0.386 0.750 0.500
11 Si 0.614 0.250 0.000
12 Si 0.614 0.250 0.500
13 Se 0.074 0.610 0.750
14 Se 0.074 0.890 0.250
15 Se 0.926 0.110 0.750
16 Se 0.926 0.390 0.250
17 O 0.231 0.578 0.032
18 O 0.231 0.578 0.468
19 O 0.231 0.922 0.532
20 O 0.231 0.922 0.968
21 O 0.455 0.232 0.616
22 O 0.455 0.232 0.884
23 O 0.455 0.268 0.116
24 O 0.455 0.268 0.384
25 O 0.545 0.732 0.616
26 O 0.545 0.732 0.884
27 O 0.545 0.768 0.116
28 O 0.545 0.768 0.384
29 O 0.769 0.078 0.032
30 O 0.769 0.078 0.468
31 O 0.769 0.422 0.532
32 O 0.769 0.422 0.968